For Mn6O7F5, the PBE+U geometry in the Materials Project gives the theoretical PXRD pattern in this record (Cu Kα (weighted mean of Kα1 and Kα2)).

Largest 10 diffraction maxima, by angle, 2θ from 5° to 70°:
2θ (°)  intensity
24.94  100
30.38  40
30.54  90
30.60  44
35.01  20
36.38  36
41.52  26
53.25  20
53.64  21
54.47  33

Structure:
a b c (Å): 4.6129 5.6360 15.3785
angles (deg): 89.85 89.60 89.81
Sites, in units of the cell vectors:
Mn (0.0000, 0.0000, 0.0000)
Mn (0.0000, 0.2874, 0.8299)
Mn (0.0193, 0.0305, 0.6660)
Mn (0.4843, 0.8022, 0.5049)
Mn (0.4927, 0.5002, 0.0066)
Mn (0.5123, 0.4841, 0.3389)
Mn (0.5244, 0.8190, 0.8404)
Mn (0.5376, 0.4775, 0.6796)
Mn (0.5533, 0.7996, 0.1724)
Mn (0.9879, 0.0150, 0.3296)
Mn (0.9899, 0.2994, 0.1600)
Mn (0.9980, 0.3060, 0.4993)
O (0.2153, 0.2677, 0.3902)
O (0.2175, 0.0365, 0.8907)
O (0.2187, 0.2746, 0.0547)
O (0.2307, 0.0413, 0.5567)
O (0.2315, 0.2694, 0.7275)
O (0.7052, 0.5431, 0.4501)
O (0.7106, 0.7649, 0.9519)
O (0.7302, 0.7624, 0.2811)
O (0.7377, 0.5378, 0.1140)
O (0.7394, 0.5394, 0.7864)
O (0.7845, 0.2574, 0.2688)
O (0.7894, 0.0385, 0.1091)
O (0.7886, 0.0540, 0.7713)
O (0.7928, 0.2675, 0.6097)
F (0.2316, 0.7755, 0.3898)
F (0.2433, 0.5266, 0.8933)
F (0.2658, 0.0370, 0.2174)
F (0.2701, 0.5247, 0.2260)
F (0.2799, 0.5477, 0.5702)
F (0.2796, 0.7736, 0.0720)
F (0.2848, 0.7853, 0.7254)
F (0.7301, 0.0336, 0.4446)
F (0.7460, 0.2686, 0.9353)
F (0.7589, 0.7745, 0.6184)


For Mn6OF11, the PBE+U geometry in the Materials Project gives the theoretical PXRD pattern in this record (Cu Kα (weighted mean of Kα1 and Kα2)).

Largest 10 diffraction maxima, by angle, 2θ from 5° to 70°:
2θ (°)  intensity
28.90  100
29.89  88
47.77  26
48.90  94
50.34  20
57.35  13
57.40  12
57.66  11
58.23  11
59.09  22

Structure:
a b c (Å): 5.2607 5.2848 15.7652
angles (deg): 90.00 92.81 90.00
Sites, in units of the cell vectors:
Mn (0.0000, 0.0000, 0.0000)
Mn (0.0000, 0.4507, 0.5000)
Mn (0.0048, 0.9367, 0.6678)
Mn (0.0248, 0.4439, 0.8405)
Mn (0.4850, 0.9380, 0.1674)
Mn (0.4943, 0.4262, 0.3323)
Mn (0.5000, 0.4117, 0.0000)
Mn (0.5000, 0.9468, 0.5000)
Mn (0.5057, 0.4262, 0.6677)
Mn (0.5150, 0.9380, 0.8326)
Mn (0.9752, 0.4439, 0.1595)
Mn (0.9952, 0.9367, 0.3322)
O (0.2161, 0.2121, 0.9394)
O (0.7839, 0.2121, 0.0606)
F (0.1541, 0.7675, 0.0909)
F (0.2160, 0.7185, 0.7615)
F (0.2223, 0.1725, 0.2605)
F (0.2300, 0.7235, 0.4209)
F (0.2317, 0.1768, 0.5921)
F (0.2685, 0.6769, 0.5891)
F (0.2735, 0.2284, 0.4275)
F (0.2815, 0.2186, 0.7623)
F (0.2827, 0.6728, 0.2493)
F (0.3038, 0.2679, 0.1064)
F (0.3450, 0.6846, 0.9271)
F (0.6550, 0.6846, 0.0729)
F (0.6962, 0.2679, 0.8936)
F (0.7173, 0.6728, 0.7507)
F (0.7185, 0.2186, 0.2377)
F (0.7265, 0.2284, 0.5725)
F (0.7315, 0.6769, 0.4109)
F (0.7683, 0.1768, 0.4079)
F (0.7700, 0.7235, 0.5791)
F (0.7777, 0.1725, 0.7395)
F (0.7840, 0.7185, 0.2385)
F (0.8459, 0.7675, 0.9091)


For Mn6OF11, the PBE+U geometry in the Materials Project gives the theoretical PXRD pattern in this record (Cu Kα (weighted mean of Kα1 and Kα2)).

Largest 10 diffraction maxima, by angle, 2θ from 5° to 70°:
2θ (°)  intensity
23.28  81
23.63  71
28.56  92
28.64  99
28.75  100
29.03  90
39.07  38
49.67  47
50.11  46
60.32  41

Structure:
a b c (Å): 4.9587 5.8884 16.2370
angles (deg): 90.33 90.47 90.84
Sites, in units of the cell vectors:
Mn (0.0000, 0.0000, 0.0000)
Mn (0.0004, 0.3379, 0.1716)
Mn (0.4925, 0.8401, 0.1690)
Mn (0.4980, 0.5023, 0.0010)
Mn (0.5022, 0.5267, 0.6693)
Mn (0.5033, 0.5231, 0.3382)
Mn (0.5078, 0.8374, 0.8287)
Mn (0.5087, 0.8392, 0.4959)
Mn (0.9746, 0.9883, 0.3404)
Mn (0.9782, 0.9830, 0.6709)
Mn (0.9869, 0.3392, 0.8326)
Mn (0.9986, 0.3384, 0.5050)
O (0.7031, 0.7608, 0.3864)
O (0.7042, 0.7594, 0.7188)
F (0.2061, 0.0545, 0.7786)
F (0.2100, 0.0583, 0.4474)
F (0.2210, 0.2790, 0.9432)
F (0.2257, 0.0672, 0.1126)
F (0.2407, 0.2967, 0.6175)
F (0.2419, 0.2911, 0.2856)
F (0.2547, 0.7737, 0.2776)
F (0.2613, 0.5658, 0.1105)
F (0.2642, 0.7794, 0.6048)
F (0.2648, 0.5508, 0.4414)
F (0.2647, 0.5516, 0.7720)
F (0.2735, 0.7793, 0.9403)
F (0.7099, 0.5544, 0.2274)
F (0.7157, 0.5551, 0.5610)
F (0.7264, 0.7780, 0.0605)
F (0.7286, 0.5653, 0.8927)
F (0.7507, 0.2759, 0.7218)
F (0.7554, 0.2791, 0.3922)
F (0.7602, 0.0679, 0.8924)
F (0.7679, 0.2759, 0.0601)
F (0.7732, 0.0634, 0.5585)
F (0.7749, 0.0621, 0.2267)


For Mn3O5F, the PBE+U geometry in the Materials Project gives the theoretical PXRD pattern in this record (Cu Kα (weighted mean of Kα1 and Kα2)).

Largest 10 diffraction maxima, by angle, 2θ from 5° to 70°:
2θ (°)  intensity
26.98  97
28.27  94
35.93  100
39.48  16
53.70  54
55.17  53
55.63  16
58.48  16
62.16  17
69.31  36

Structure:
a b c (Å): 10.4031 10.4031 2.9867
angles (deg): 90.00 90.00 144.68
Sites, in units of the cell vectors:
Mn (0.0000, 0.0000, 0.0000)
Mn (0.1622, 0.8378, 0.5000)
Mn (0.3218, 0.6782, 0.0000)
Mn (0.5000, 0.5000, 0.5000)
Mn (0.6782, 0.3218, 0.0000)
Mn (0.8378, 0.1622, 0.5000)
O (0.0316, 0.3621, 0.0000)
O (0.0635, 0.9365, 0.5000)
O (0.2622, 0.7378, 0.5000)
O (0.3044, 0.3044, 0.0000)
O (0.3621, 0.0316, 0.0000)
O (0.6379, 0.9684, 0.0000)
O (0.6956, 0.6956, 0.0000)
O (0.7378, 0.2622, 0.5000)
O (0.9365, 0.0635, 0.5000)
O (0.9684, 0.6379, 0.0000)
F (0.3914, 0.6086, 0.5000)
F (0.6086, 0.3914, 0.5000)


For Mn6OF11, the PBE+U geometry in the Materials Project gives the theoretical PXRD pattern in this record (Cu Kα (weighted mean of Kα1 and Kα2)).

Largest 10 diffraction maxima, by angle, 2θ from 5° to 70°:
2θ (°)  intensity
23.50  80
28.72  95
28.84  100
37.92  21
39.17  21
49.87  30
50.04  48
51.04  35
51.19  33
60.95  37

Structure:
a b c (Å): 5.9067 4.9325 16.2368
angles (deg): 90.00 90.39 90.00
Sites, in units of the cell vectors:
Mn (0.0741, 0.0000, 0.0716)
Mn (0.0790, 0.9917, 0.7529)
Mn (0.0820, 0.9947, 0.4159)
Mn (0.3967, 0.9885, 0.9198)
Mn (0.4134, 0.9870, 0.2444)
Mn (0.4203, 0.9952, 0.5854)
Mn (0.5797, 0.4952, 0.4146)
Mn (0.5866, 0.4870, 0.7556)
Mn (0.6033, 0.4885, 0.0802)
Mn (0.9180, 0.4947, 0.5841)
Mn (0.9210, 0.4917, 0.2471)
Mn (0.9259, 0.5000, 0.9284)
O (0.1225, 0.7863, 0.9723)
O (0.8775, 0.2863, 0.0277)
F (0.1297, 0.2056, 0.1830)
F (0.1431, 0.7673, 0.6423)
F (0.1459, 0.2265, 0.5261)
F (0.1457, 0.2403, 0.8593)
F (0.1467, 0.7604, 0.3055)
F (0.3508, 0.7631, 0.1319)
F (0.3529, 0.2237, 0.3552)
F (0.3549, 0.2277, 0.6949)
F (0.3556, 0.7649, 0.4743)
F (0.3642, 0.7734, 0.8070)
F (0.3696, 0.2290, 0.0263)
F (0.6304, 0.7290, 0.9737)
F (0.6358, 0.2734, 0.1930)
F (0.6444, 0.2649, 0.5257)
F (0.6451, 0.7277, 0.3051)
F (0.6471, 0.7237, 0.6448)
F (0.6492, 0.2631, 0.8681)
F (0.8533, 0.2604, 0.6945)
F (0.8541, 0.7265, 0.4739)
F (0.8543, 0.7403, 0.1407)
F (0.8569, 0.2673, 0.3577)
F (0.8703, 0.7056, 0.8170)


For Mn6O7F5, the PBE+U geometry in the Materials Project gives the theoretical PXRD pattern in this record (Cu Kα (weighted mean of Kα1 and Kα2)).

Largest 10 diffraction maxima, by angle, 2θ from 5° to 70°:
2θ (°)  intensity
24.90  60
25.26  56
30.45  50
30.59  51
30.82  100
36.31  23
41.81  22
53.80  24
53.93  25
55.12  37

Structure:
a b c (Å): 4.5683 5.6429 15.3151
angles (deg): 89.74 89.86 89.17
Sites, in units of the cell vectors:
Mn (0.0000, 0.0000, 0.0000)
Mn (0.0007, 0.0191, 0.3399)
Mn (0.0072, 0.7262, 0.4974)
Mn (0.0159, 0.0144, 0.6656)
Mn (0.0282, 0.7428, 0.1664)
Mn (0.5058, 0.5185, 0.6816)
Mn (0.5081, 0.2096, 0.8493)
Mn (0.5158, 0.5185, 0.3475)
Mn (0.5209, 0.1877, 0.1807)
Mn (0.5245, 0.5294, 0.0073)
Mn (0.5310, 0.2073, 0.5135)
Mn (0.9980, 0.7168, 0.8363)
O (0.2182, 0.7462, 0.7268)
O (0.2226, 0.9806, 0.8945)
O (0.2237, 0.7444, 0.3931)
O (0.2264, 0.9888, 0.2316)
O (0.2349, 0.9739, 0.5594)
O (0.2437, 0.7569, 0.0590)
O (0.7163, 0.4787, 0.7905)
O (0.7230, 0.2537, 0.2907)
O (0.7240, 0.2473, 0.6221)
O (0.7312, 0.2505, 0.9549)
O (0.7403, 0.4786, 0.4550)
O (0.7765, 0.7638, 0.9448)
O (0.7809, 0.9676, 0.4459)
O (0.7918, 0.9673, 0.1097)
F (0.2531, 0.4781, 0.9034)
F (0.2591, 0.2442, 0.7422)
F (0.2591, 0.4905, 0.5681)
F (0.2683, 0.4995, 0.2297)
F (0.2697, 0.2485, 0.0644)
F (0.2795, 0.2457, 0.4090)
F (0.7506, 0.4723, 0.1240)
F (0.7556, 0.9829, 0.7701)
F (0.7617, 0.7478, 0.2701)
F (0.7659, 0.7431, 0.6044)